1.
For Mo2S3, a DFT-relaxed cell (PBE, the Materials Project) gives the computed PXRD pattern in this record (Cu Kα, 1.54184 Å).
Kinematic intensities with the Lorentz-polarization factor, no thermal factor.

Largest 8 diffraction maxima, in order of rising 2θ, 10 to 90 degrees two-theta:
2θ = 16.0°, 5.525 Å, I 100; 2θ = 20.9°, 4.242 Å, I 31; 2θ = 31.6°, 2.831 Å, I 42; 2θ = 35.1°, 2.560 Å, I 32; 2θ = 40.1°, 2.248 Å, I 46; 2θ = 40.5°, 2.229 Å, I 32; 2θ = 42.7°, 2.116 Å, I 67; 2θ = 44.3°, 2.045 Å, I 31

Structural model:
```
Mo2S3
1.0
6.170 0.000 0.000
0.000 3.210 0.000
-1.952 0.000 8.485
Mo S
4 6
Direct
0.107 0.250 0.126
0.313 0.250 0.509
0.687 0.750 0.491
0.893 0.750 0.874
0.026 0.750 0.342
0.273 0.750 0.987
0.493 0.750 0.696
0.507 0.250 0.304
0.727 0.250 0.013
0.974 0.250 0.658
```

***

2.
For CeZn2Ni3, a DFT-relaxed cell (PBE, the Materials Project) gives the computed PXRD pattern in this record (Cu Kα, 1.54184 Å).
Kinematic intensities with the Lorentz-polarization factor, no thermal factor.

Largest 8 diffraction maxima, in order of rising 2θ, 10 to 90 degrees two-theta:
2θ = 30.3°, 2.947 Å, I 35; 2θ = 34.5°, 2.597 Å, I 33; 2θ = 40.1°, 2.249 Å, I 32; 2θ = 41.8°, 2.162 Å, I 100; 2θ = 46.6°, 1.950 Å, I 32; 2θ = 59.3°, 1.559 Å, I 24; 2θ = 66.9°, 1.399 Å, I 23; 2θ = 72.9°, 1.298 Å, I 17

Structural model:
```
CeZn2Ni3
1.0
5.193 0.000 0.000
-2.597 4.498 0.000
0.000 0.000 3.901
Ce Zn Ni
1 2 3
Direct
0.000 0.000 0.000
0.333 0.667 0.000
0.667 0.333 0.000
0.000 0.500 0.500
0.500 0.000 0.500
0.500 0.500 0.500
```

***

3.
For AsPOs, a DFT-relaxed cell (PBE, the Materials Project) gives the computed PXRD pattern in this record (Cu Kα, 1.54184 Å).
Kinematic intensities with the Lorentz-polarization factor, no thermal factor.

Largest 8 diffraction maxima, in order of rising 2θ, 10 to 90 degrees two-theta:
2θ = 21.8°, 4.076 Å, I 38; 2θ = 22.6°, 3.935 Å, I 83; 2θ = 29.3°, 3.050 Å, I 40; 2θ = 33.3°, 2.691 Å, I 32; 2θ = 34.3°, 2.612 Å, I 100; 2θ = 45.3°, 2.001 Å, I 40; 2θ = 48.5°, 1.876 Å, I 64; 2θ = 54.5°, 1.684 Å, I 39

Structural model:
```
AsPOs
1.0
5.310 0.000 0.000
0.000 3.001 0.000
-0.217 0.000 6.100
As P Os
2 2 2
Direct
0.171 0.000 0.137
0.829 0.000 0.863
0.335 0.500 0.628
0.665 0.500 0.372
0.000 0.000 0.500
0.500 0.500 0.000
```